Starting from the PBE+U geometry in Alexandria, the PXRD pattern of DyCrF5 was calculated for Cu Kα X-rays.
Intensities are scaled so that the largest is 100.

Largest 10 diffraction maxima, sorted by position, 2θ from 10° to 80°:
16.05°, I = 12
16.74°, I = 14
18.11°, I = 14
23.24°, I = 100
24.76°, I = 17
28.80°, I = 12
33.50°, I = 11
39.87°, I = 11
41.51°, I = 10
54.59°, I = 11

Cell lengths 5.7307, 10.5906, 8.5363 Å; angles 90.00, 105.46, 90.00 degrees
Space group P2_1/c (No. 14)
Unique sites:
1 Dy 0.0732 0.2418 0.3584 (multiplicity 4)
2 Cr 0.4947 0.5026 0.7070 (multiplicity 4)
3 F 0.1133 0.2047 0.6164 (multiplicity 4)
4 F 0.2057 0.6029 0.2311 (multiplicity 4)
5 F 0.2108 0.6193 0.6587 (multiplicity 4)
6 F 0.3476 0.1001 0.3533 (multiplicity 4)
7 F 0.3525 0.1077 0.9410 (multiplicity 4)